The following is a theoretical X-ray powder pattern of Ac2SmAg2. It was derived from a crystal structure in Alexandria, relaxed with GGA-PBE, using Cu Kα (λ = 1.5418 Å).

Crystal structure
abc: 12.963 5.004 11.552
angles: 90.00 120.35 90.00
Space group C2/m (No. 12)
Asymmetric unit:
Ac1 0.026 0.000 0.187
Ac2 0.183 0.000 0.594
Sm1 0.208 0.500 0.860
Ag1 0.035 0.500 0.397
Ag2 0.129 0.500 0.068

Largest 6 diffraction maxima, in order of rising 2θ, 2θ from 5° to 70°:
two_theta, I/Imax, h k l
27.45, 90, 3 1 -1
29.12, 100, 1 1 2
29.81, 77, 1 1 -3
31.08, 90, 3 1 -3
34.64, 58, 3 1 1
35.89, 74, 0 2 0

The following is a theoretical X-ray powder pattern of CePmNi2As2. It was derived from a crystal structure in Alexandria, relaxed with GGA-PBE, using Cu Kα (λ = 1.5418 Å).

Crystal structure
abc: 4.0960 4.0960 7.9955
angles: 90.00 90.00 120.00
Space group P-3m1 (No. 164)
Asymmetric unit:
Ce1 0.0000 0.0000 0.0000
Pm1 0.0000 0.0000 0.5000
Ni1 0.3333 0.6667 0.7679
As1 0.3333 0.6667 0.2543

Largest 6 diffraction maxima, in order of rising 2θ, 2θ from 5° to 70°:
two_theta, I/Imax, h k l
25.10, 12, 1 0 0
33.78, 100, 1 0 2
44.22, 42, 1 1 0
45.37, 12, 0 0 4
56.79, 22, 0 2 2
65.22, 24, 1 1 4

The following is a theoretical X-ray powder pattern of Pm4S4I3. It was derived from a crystal structure in Alexandria, relaxed with GGA-PBE, using Cu Kα (λ = 1.5418 Å).

Crystal structure
abc: 4.329 8.464 16.119
angles: 90.00 90.00 90.00
Space group Immm (No. 71)
Asymmetric unit:
Pm1 0.000 0.000 0.227
Pm2 0.000 0.219 0.500
S1 0.000 0.301 0.331
I1 0.000 0.000 0.000
I2 0.000 0.500 0.104

Largest 6 diffraction maxima, in order of rising 2θ, 2θ from 5° to 70°:
two_theta, I/Imax, h k l
29.65, 31, 0 1 5
30.05, 100, 1 2 1
32.14, 77, 1 1 4
39.74, 38, 0 2 6
41.73, 25, 2 0 0
63.35, 19, 1 5 4

The following is a theoretical X-ray powder pattern of Cu2AsPd2. It was derived from a crystal structure in Alexandria, relaxed with GGA-PBE, using Cu Kα (λ = 1.5418 Å).

Crystal structure
abc: 8.984 5.087 6.816
angles: 90.00 113.11 90.00
Space group C2/c (No. 15)
Asymmetric unit:
Cu1 0.111 0.129 0.457
As1 0.000 0.273 0.750
Pd1 0.167 0.389 0.143

Largest 6 diffraction maxima, in order of rising 2θ, 2θ from 5° to 70°:
two_theta, I/Imax, h k l
38.77, 65, 1 1 2
41.20, 100, 2 2 -1
41.88, 52, 4 0 -2
44.07, 64, 1 1 -3
44.51, 50, 3 1 1
58.02, 18, 3 1 -4

The following is a theoretical X-ray powder pattern of SrCaHgO3. It was derived from a crystal structure in Alexandria, relaxed with GGA-PBE, using Cu Kα (λ = 1.5418 Å).

Crystal structure
abc: 6.599 3.370 9.789
angles: 90.00 93.22 90.00
Space group P2_1/m (No. 11)
Asymmetric unit:
Sr1 0.186 0.250 0.244
Ca1 0.347 0.750 0.892
Hg1 0.202 0.250 0.594
O1 0.118 0.250 0.807
O2 0.223 0.750 0.440
O3 0.399 0.750 0.123

Largest 6 diffraction maxima, in order of rising 2θ, 2θ from 5° to 70°:
two_theta, I/Imax, h k l
9.05, 100, 0 0 1
27.07, 37, 2 0 0
29.78, 46, 1 1 0
31.31, 34, 1 0 3
32.27, 35, 0 1 2
38.44, 33, 0 1 3

The following is a theoretical X-ray powder pattern of K4U3MoN8. It was derived from a crystal structure in Alexandria, relaxed with GGA-PBE, using Cu Kα (λ = 1.5418 Å).

Crystal structure
abc: 6.8698 6.8698 19.1672
angles: 90.00 90.00 120.00
Space group R-3m (No. 166, hexagonal axes)
Asymmetric unit:
K1 0.0000 0.0000 0.0000
K2 0.0000 0.5000 0.0000
U1 0.0000 0.5000 0.5000
Mo1 0.0000 0.0000 0.5000
N1 0.0000 0.0000 0.2215
N2 0.0070 0.5035 0.7792

Largest 6 diffraction maxima, in order of rising 2θ, 2θ from 5° to 70°:
two_theta, I/Imax, h k l
13.86, 100, 0 0 3
27.93, 35, 0 0 6
30.41, 37, 0 2 1
31.49, 69, 2 0 2
35.52, 74, 0 2 4
48.81, 26, 2 0 8

The following is a theoretical X-ray powder pattern of Ac2SeBr2. It was derived from a crystal structure in Alexandria, relaxed with GGA-PBE, using Cu Kα (λ = 1.5418 Å).

Crystal structure
abc: 4.4815 4.4815 32.8740
angles: 90.00 90.00 120.00
Space group R-3m (No. 166, hexagonal axes)
Asymmetric unit:
Ac1 0.0000 0.0000 0.1154
Se1 0.0000 0.0000 0.5000
Br1 0.0000 0.0000 0.2756

Largest 6 diffraction maxima, in order of rising 2θ, 2θ from 5° to 70°:
two_theta, I/Imax, h k l
8.07, 87, 0 0 3
23.08, 20, 1 0 1
26.67, 100, 0 1 5
31.71, 49, 0 1 8
40.25, 46, 1 1 0
42.68, 36, 1 0 13

The following is a theoretical X-ray powder pattern of Sm12Dy5Tm2. It was derived from a crystal structure in Alexandria, relaxed with GGA-PBE, using Cu Kα (λ = 1.5418 Å).

Crystal structure
abc: 15.395 10.356 7.989
angles: 90.00 92.60 90.00
Space group C2/m (No. 12)
Asymmetric unit:
Sm1 0.052 0.000 0.209
Sm2 0.106 0.226 0.887
Sm3 0.140 0.500 0.613
Sm4 0.189 0.270 0.294
Dy1 0.000 0.500 0.000
Dy2 0.153 0.000 0.587
Dy3 0.244 0.500 0.986
Tm1 0.000 0.241 0.500

Largest 6 diffraction maxima, in order of rising 2θ, 2θ from 5° to 70°:
two_theta, I/Imax, h k l
30.67, 100, 4 2 -1
30.97, 78, 2 2 2
34.65, 35, 0 4 0
35.19, 28, 2 0 -3
37.33, 23, 6 0 1
51.84, 26, 8 0 -2